1.
Structure and theoretical X-ray diffraction stick pattern of Ni5Ir3 (a cell relaxed with GGA-PBE; a wavelength of 1.5418 Å).

Top 10 peaks for 2θ from 10° to 90°, in order of falling intensity:
2theta  intensity
42.71  1000
24.64  180
49.07  166
49.60  161
34.33  157
50.52  152
87.42  126
88.23  124
89.64  120
72.35  102

Crystal structure
```
data_Ni5Ir3
_chemical_formula_sum 'Ni10 Ir6'
_symmetry_space_group_name_H-M 'C m m m'
_symmetry_Int_Tables_number 65
_symmetry_space_group_name_Hall '-C 2 2'
_cell_length_a 7.2261
_cell_length_b 7.4261
_cell_length_c 3.6757
_cell_angle_alpha 90.00
_cell_angle_beta 90.00
_cell_angle_gamma 90.00
loop_
_atom_site_label
_atom_site_type_symbol
_atom_site_fract_x
_atom_site_fract_y
_atom_site_fract_z
Ni1 Ni 0.0000 0.0000 0.0000
Ni2 Ni 0.2456 0.0000 0.5000
Ni3 Ni 0.2500 0.2500 0.0000
Ir1 Ir 0.0000 0.2474 0.5000
Ir2 Ir 0.0000 0.5000 0.0000
```

***

2.
Structure and theoretical X-ray diffraction stick pattern of SrCdGa2Ge (a cell relaxed with GGA-PBE; a wavelength of 1.5418 Å).

Top 10 peaks for 2θ from 10° to 90°, in order of falling intensity:
2theta  intensity
31.95  1000
38.71  302
42.89  292
39.82  279
31.22  207
56.75  192
30.88  162
45.27  136
65.86  118
67.38  110

Crystal structure
```
data_SrCdGa2Ge
_chemical_formula_sum 'Sr2 Cd2 Ga4 Ge2'
_symmetry_space_group_name_H-M 'I m m 2'
_symmetry_Int_Tables_number 44
_symmetry_space_group_name_Hall 'I 2 -2'
_cell_length_a 4.5277
_cell_length_b 4.6518
_cell_length_c 11.0978
_cell_angle_alpha 90.00
_cell_angle_beta 90.00
_cell_angle_gamma 90.00
loop_
_atom_site_label
_atom_site_type_symbol
_atom_site_fract_x
_atom_site_fract_y
_atom_site_fract_z
Sr1 Sr 0.0000 0.0000 0.0000
Cd1 Cd 0.0000 0.5000 0.7492
Ga1 Ga 0.0000 0.0000 0.6211
Ga2 Ga 0.0000 0.5000 0.2554
Ge1 Ge 0.0000 0.0000 0.3934
```

***

3.
Structure and theoretical X-ray diffraction stick pattern of PmPr12Y6 (a cell relaxed with GGA-PBE; a wavelength of 1.5418 Å).

Top 10 peaks for 2θ from 10° to 90°, in order of falling intensity:
2theta  intensity
30.98  1000
30.62  400
29.14  336
33.37  300
33.69  283
55.32  179
53.55  166
48.86  160
28.03  156
56.20  146

Crystal structure
```
data_PmPr12Y6
_chemical_formula_sum 'Pm3 Pr36 Y18'
_symmetry_space_group_name_H-M 'R -3 m'
_symmetry_Int_Tables_number 166
_symmetry_space_group_name_Hall '-R 3 2"'
_cell_length_a 13.6903
_cell_length_b 13.6903
_cell_length_c 12.6875
_cell_angle_alpha 90.00
_cell_angle_beta 90.00
_cell_angle_gamma 120.00
loop_
_atom_site_label
_atom_site_type_symbol
_atom_site_fract_x
_atom_site_fract_y
_atom_site_fract_z
Pm1 Pm 0.0000 0.0000 0.0000
Pr1 Pr 0.0000 0.2565 0.5000
Pr2 Pr 0.0907 0.1815 0.2607
Y1 Y 0.0443 0.5222 0.6214
```

***

4.
Structure and theoretical X-ray diffraction stick pattern of PaAlGeO6 (a cell relaxed with GGA-PBE; a wavelength of 1.5418 Å).

Top 10 peaks for 2θ from 10° to 90°, in order of falling intensity:
2theta  intensity
27.90  1000
20.69  352
53.16  298
36.25  255
46.35  248
60.22  236
43.23  141
83.72  118
41.00  111
61.96  106

Crystal structure
```
data_PaAlGeO6
_chemical_formula_sum 'Pa2 Al2 Ge2 O12'
_symmetry_space_group_name_H-M 'P -3 1 c'
_symmetry_Int_Tables_number 163
_symmetry_space_group_name_Hall '-P 3 2c'
_cell_length_a 4.9564
_cell_length_b 4.9564
_cell_length_c 9.5885
_cell_angle_alpha 90.00
_cell_angle_beta 90.00
_cell_angle_gamma 120.00
loop_
_atom_site_label
_atom_site_type_symbol
_atom_site_fract_x
_atom_site_fract_y
_atom_site_fract_z
Pa1 Pa 0.0000 0.0000 0.0000
Al1 Al 0.3333 0.6667 0.2500
Ge1 Ge 0.3333 0.6667 0.7500
O1 O 0.9996 0.3562 0.1394
```

***

5.
Structure and theoretical X-ray diffraction stick pattern of Cs2LaTe2Br2 (a cell relaxed with GGA-PBE; a wavelength of 1.5418 Å).

Top 10 peaks for 2θ from 10° to 90°, in order of falling intensity:
2theta  intensity
28.78  1000
41.15  700
27.96  570
20.24  488
22.40  259
50.99  231
67.48  221
50.47  193
74.99  186
35.44  180

Crystal structure
```
data_Cs2LaTe2Br2
_chemical_formula_sum 'Cs4 La2 Te4 Br4'
_symmetry_space_group_name_H-M 'I 4/m m m'
_symmetry_Int_Tables_number 139
_symmetry_space_group_name_Hall '-I 4 2'
_cell_length_a 6.2080
_cell_length_b 6.2080
_cell_length_c 18.5874
_cell_angle_alpha 90.00
_cell_angle_beta 90.00
_cell_angle_gamma 90.00
loop_
_atom_site_label
_atom_site_type_symbol
_atom_site_fract_x
_atom_site_fract_y
_atom_site_fract_z
Cs1 Cs 0.0000 0.0000 0.1457
La1 La 0.0000 0.0000 0.5000
Te1 Te 0.0000 0.5000 0.0000
Br1 Br 0.0000 0.0000 0.3384
```

***

6.
Structure and theoretical X-ray diffraction stick pattern of Ce3ZnOs2 (a cell relaxed with GGA-PBE; a wavelength of 1.5418 Å).

Top 10 peaks for 2θ from 10° to 90°, in order of falling intensity:
2theta  intensity
30.90  1000
44.46  728
31.17  521
55.51  205
44.72  196
82.28  186
17.02  176
39.84  175
73.70  156
54.74  155

Crystal structure
```
data_Ce3ZnOs2
_chemical_formula_sum 'Ce12 Zn4 Os8'
_symmetry_space_group_name_H-M 'C 1 2/c 1'
_symmetry_Int_Tables_number 15
_symmetry_space_group_name_Hall '-C 2yc'
_cell_length_a 13.0446
_cell_length_b 5.7395
_cell_length_c 8.1061
_cell_angle_alpha 90.00
_cell_angle_beta 108.10
_cell_angle_gamma 90.00
loop_
_atom_site_label
_atom_site_type_symbol
_atom_site_fract_x
_atom_site_fract_y
_atom_site_fract_z
Ce1 Ce 0.0000 0.0169 0.2500
Ce2 Ce 0.1898 0.4968 0.0949
Zn1 Zn 0.0000 0.4804 0.7500
Os1 Os 0.1566 0.0029 0.5783
```